TlNi2O4: computed powder X-ray diffraction pattern (Cu Kα, 1.54184 Å), based on a DFT-relaxed cell (GGA+U, Alexandria).
Peak positions follow from Bragg's law for the DFT cell and can differ from measured ones.

The 10 most intense peaks (2θ = 10–80°), low angle first:
| Position (°2θ) | I_rel |
| --- | --- |
| 19.2 | 100 |
| 30.3 | 82 |
| 33.0 | 62 |
| 35.1 | 64 |
| 38.5 | 32 |
| 45.4 | 19 |
| 47.4 | 32 |
| 49.0 | 61 |
| 60.3 | 18 |
| 69.4 | 20 |

Structural model:
Cell: 7.674 7.674 5.792 Å, 90.00 90.00 90.00°
Space group I-42d (No. 122)
Symmetry-distinct sites (fractional):
Tl  0.000  0.000  0.000 [4 per cell]
Ni  0.227  0.750  0.625 [8 per cell]
O  0.072  0.735  0.892 [16 per cell]

***

UTl2Ni2O6: computed powder X-ray diffraction pattern (Cu Kα, 1.54184 Å), based on a DFT-relaxed cell (GGA+U, Alexandria).
Peak positions follow from Bragg's law for the DFT cell and can differ from measured ones.

The 10 most intense peaks (2θ = 10–80°), low angle first:
| Position (°2θ) | I_rel |
| --- | --- |
| 19.4 | 93 |
| 23.1 | 76 |
| 27.0 | 88 |
| 33.7 | 88 |
| 34.4 | 41 |
| 36.4 | 55 |
| 37.9 | 39 |
| 38.0 | 100 |
| 48.9 | 41 |
| 58.4 | 39 |

Structural model:
Cell: 5.503 9.480 6.965 Å, 90.00 108.69 90.00°
Space group C2/m (No. 12)
Symmetry-distinct sites (fractional):
U  0.000  0.000  0.000 [2 per cell]
Tl  0.000  0.172  0.500 [4 per cell]
Ni  0.000  0.334  0.000 [4 per cell]
O  0.227  0.166  0.165 [8 per cell]
O  0.236  0.500  0.162 [4 per cell]

***

Tl3V2NiO8: computed powder X-ray diffraction pattern (Cu Kα, 1.54184 Å), based on a DFT-relaxed cell (GGA+U, Alexandria).
Peak positions follow from Bragg's law for the DFT cell and can differ from measured ones.

The 10 most intense peaks (2θ = 10–80°), low angle first:
| Position (°2θ) | I_rel |
| --- | --- |
| 21.4 | 60 |
| 29.8 | 89 |
| 30.9 | 100 |
| 37.9 | 28 |
| 43.5 | 42 |
| 48.2 | 24 |
| 49.7 | 15 |
| 54.3 | 34 |
| 55.0 | 20 |
| 64.4 | 16 |

Structural model:
Cell: 5.7838 5.7838 7.4735 Å, 90.00 90.00 120.00°
Space group P-3m1 (No. 164)
Symmetry-distinct sites (fractional):
Tl  0.0000  0.0000  0.0000 [1 per cell]
Tl  0.3333  0.6667  0.6947 [2 per cell]
V  0.3333  0.6667  0.2533 [2 per cell]
Ni  0.0000  0.0000  0.5000 [1 per cell]
O  0.1677  0.3355  0.3326 [6 per cell]
O  0.3333  0.6667  0.0249 [2 per cell]